[1]
Theoretical X-ray diffraction stick pattern of K2TaCl5 for Cu Kα (weighted mean of Kα1 and Kα2), from a cell relaxed with GGA-PBE.

Atomic structure:
abc: 11.045 7.474 7.672
angles: 90.00 123.66 90.00
Space group Cm (No. 8)
Symmetry-distinct sites (fractional):
K1 0.000 0.000 0.000
K2 0.021 0.500 0.518
Ta1 0.290 0.000 0.775
Cl1 0.020 0.500 0.096
Cl2 0.213 0.237 0.919
Cl3 0.264 0.223 0.526

Main lines, in order of rising 2θ (2θ = 5–70°):
| d [Å] | 2θ (°) | I/Imax | (hkl) |
| --- | --- | --- | --- |
| 6.386 | 13.87 | 72.7 | 0 0 1 |
| 5.800 | 15.28 | 100.0 | 1 1 0 |
| 5.416 | 16.37 | 49.4 | 2 0 -1 |
| 5.317 | 16.67 | 33.8 | 1 1 -1 |
| 3.698 | 24.07 | 46.6 | 1 1 1 |
| 3.292 | 27.09 | 34.3 | 3 1 -1 |
| 3.024 | 29.54 | 34.6 | 2 0 1 |
| 2.659 | 33.71 | 60.9 | 2 2 -2 |

[2]
Theoretical X-ray diffraction stick pattern of K2Ta3Cl9 for Cu Kα (weighted mean of Kα1 and Kα2), from a cell relaxed with GGA-PBE.

Atomic structure:
abc: 10.193 16.999 9.803
angles: 90.00 114.95 90.00
Space group C2/m (No. 12)
Symmetry-distinct sites (fractional):
K1 0.109 0.160 0.327
Ta1 0.124 0.500 0.880
Ta2 0.130 0.415 0.140
Cl1 0.000 0.296 0.000
Cl2 0.008 0.398 0.309
Cl3 0.187 0.000 0.667
Cl4 0.198 0.103 0.976
Cl5 0.201 0.194 0.677
Cl6 0.219 0.000 0.270

Main lines, in order of rising 2θ (2θ = 5–70°):
| d [Å] | 2θ (°) | I/Imax | (hkl) |
| --- | --- | --- | --- |
| 8.889 | 9.95 | 69.4 | 0 0 1 |
| 8.499 | 10.41 | 61.4 | 0 2 0 |
| 8.120 | 10.90 | 100.0 | 1 1 0 |
| 7.547 | 11.73 | 79.7 | 1 1 -1 |
| 6.143 | 14.42 | 29.8 | 0 2 1 |
| 2.430 | 37.00 | 20.8 | 1 5 2 |
| 2.351 | 38.29 | 18.1 | 2 6 -2 |
| 1.949 | 46.61 | 16.7 | 2 6 2 |

[3]
Theoretical X-ray diffraction stick pattern of K2TbCl6 for Cu Kα (weighted mean of Kα1 and Kα2), from a cell relaxed with GGA-PBE.

Atomic structure:
abc: 4.303 14.018 8.082
angles: 90.00 90.00 90.00
Space group Amm2 (No. 38)
Symmetry-distinct sites (fractional):
K1 0.000 0.167 0.000
Tb1 0.500 0.000 0.501
Cl1 0.000 0.000 0.735
Cl2 0.000 0.117 0.383
Cl3 0.500 0.000 0.151
Cl4 0.500 0.175 0.675

Main lines, in order of rising 2θ (2θ = 5–70°):
| d [Å] | 2θ (°) | I/Imax | (hkl) |
| --- | --- | --- | --- |
| 7.004 | 12.64 | 100.0 | 0 1 1 |
| 4.044 | 21.98 | 29.9 | 0 3 1 |
| 3.666 | 24.28 | 41.1 | 1 2 0 |
| 2.947 | 30.33 | 30.0 | 1 0 2 |
| 2.716 | 32.98 | 52.3 | 1 2 2 |
| 2.335 | 38.56 | 35.1 | 0 3 3 |
| 2.255 | 39.99 | 61.9 | 1 5 1 |
| 1.582 | 58.32 | 19.2 | 2 3 3 |

[4]
Theoretical X-ray diffraction stick pattern of K3TbCl8 for Cu Kα (weighted mean of Kα1 and Kα2), from a cell relaxed with GGA-PBE.

Atomic structure:
abc: 7.139 7.139 14.840
angles: 90.00 90.00 90.00
Space group I4/mmm (No. 139)
Symmetry-distinct sites (fractional):
K1 0.000 0.000 0.000
K2 0.000 0.500 0.250
Tb1 0.000 0.000 0.500
Cl1 0.224 0.224 0.388

Main lines, in order of rising 2θ (2θ = 5–70°):
| d [Å] | 2θ (°) | I/Imax | (hkl) |
| --- | --- | --- | --- |
| 7.420 | 11.93 | 30.9 | 0 0 2 |
| 6.433 | 13.76 | 76.4 | 1 0 1 |
| 4.174 | 21.29 | 100.0 | 1 1 2 |
| 2.572 | 34.88 | 99.4 | 2 0 4 |
| 2.524 | 35.57 | 47.0 | 2 2 0 |
| 2.221 | 40.62 | 17.0 | 1 1 6 |
| 2.160 | 41.82 | 31.1 | 3 1 2 |
| 1.466 | 63.44 | 25.4 | 4 2 4 |

[5]
Theoretical X-ray diffraction stick pattern of KTb2Cl7 for Cu Kα (weighted mean of Kα1 and Kα2), from a cell relaxed with GGA-PBE.

Atomic structure:
abc: 6.996 12.645 13.584
angles: 90.00 92.61 90.00
Space group P2_1/c (No. 14)
Symmetry-distinct sites (fractional):
K1 0.195 0.218 0.477
Tb1 0.217 0.536 0.260
Tb2 0.284 0.660 0.756
Cl1 0.005 0.706 0.318
Cl2 0.031 0.567 0.625
Cl3 0.076 0.525 0.868
Cl4 0.247 0.687 0.113
Cl5 0.440 0.061 0.628
Cl6 0.448 0.097 0.870
Cl7 0.483 0.673 0.335

Main lines, in order of rising 2θ (2θ = 5–70°):
| d [Å] | 2θ (°) | I/Imax | (hkl) |
| --- | --- | --- | --- |
| 6.785 | 13.05 | 100.0 | 0 0 2 |
| 6.117 | 14.48 | 40.0 | 1 1 0 |
| 4.634 | 19.15 | 43.2 | 1 1 -2 |
| 4.457 | 19.92 | 28.8 | 1 1 2 |
| 3.468 | 25.69 | 27.4 | 1 3 1 |
| 2.854 | 31.34 | 21.1 | 1 3 -3 |
| 2.789 | 32.09 | 22.0 | 1 3 3 |
| 2.591 | 34.62 | 23.9 | 0 4 3 |

[6]
Theoretical X-ray diffraction stick pattern of KTcCl for Cu Kα (weighted mean of Kα1 and Kα2), from a cell relaxed with GGA-PBE.

Atomic structure:
abc: 3.7832 3.7832 5.9295
angles: 90.00 90.00 120.00
Space group P3m1 (No. 156)
Symmetry-distinct sites (fractional):
K1 0.0000 0.0000 0.0000
Tc1 0.6667 0.3333 0.4916
Cl1 0.3333 0.6667 0.6070

Main lines, in order of rising 2θ (2θ = 5–70°):
| d [Å] | 2θ (°) | I/Imax | (hkl) |
| --- | --- | --- | --- |
| 5.929 | 14.94 | 52.6 | 0 0 1 |
| 3.276 | 27.22 | 17.3 | 1 0 0 |
| 2.965 | 30.14 | 26.7 | 0 0 2 |
| 2.868 | 31.19 | 100.0 | 1 0 1 |
| 2.198 | 41.06 | 24.3 | 1 0 2 |
| 1.892 | 48.10 | 27.7 | 1 1 0 |
| 1.692 | 54.20 | 22.9 | 1 0 3 |
| 1.595 | 57.82 | 22.7 | 1 1 2 |

[7]
Theoretical X-ray diffraction stick pattern of KTeCl5 for Cu Kα (weighted mean of Kα1 and Kα2), from a cell relaxed with GGA-PBE.

Atomic structure:
abc: 11.038 8.203 11.523
angles: 90.00 109.86 90.00
Space group Cc (No. 9)
Symmetry-distinct sites (fractional):
K1 0.000 0.040 0.000
Te1 0.006 0.466 0.733
Cl1 0.087 0.420 0.571
Cl2 0.091 0.245 0.259
Cl3 0.218 0.363 0.880
Cl4 0.302 0.067 0.571
Cl5 0.426 0.328 0.216

Main lines, in order of rising 2θ (2θ = 5–70°):
| d [Å] | 2θ (°) | I/Imax | (hkl) |
| --- | --- | --- | --- |
| 6.436 | 13.76 | 93.4 | 1 1 0 |
| 5.419 | 16.36 | 36.4 | 0 0 2 |
| 5.191 | 17.08 | 62.5 | 2 0 0 |
| 4.657 | 19.06 | 100.0 | 1 1 -2 |
| 4.612 | 19.24 | 47.3 | 2 0 -2 |
| 3.221 | 27.70 | 36.2 | 2 2 0 |
| 2.828 | 31.64 | 47.2 | 2 0 -4 |
| 2.435 | 36.91 | 39.6 | 3 1 2 |

[8]
Theoretical X-ray diffraction stick pattern of KTe2Cl for Cu Kα (weighted mean of Kα1 and Kα2), from a cell relaxed with GGA-PBE.

Atomic structure:
abc: 3.983 4.695 9.289
angles: 90.00 90.31 90.00
Space group Pm (No. 6)
Symmetry-distinct sites (fractional):
K1 0.000 0.000 0.000
Te1 0.505 0.000 0.379
Te2 0.507 0.500 0.539
Cl1 0.500 0.500 0.999

Main lines, in order of rising 2θ (2θ = 5–70°):
| d [Å] | 2θ (°) | I/Imax | (hkl) |
| --- | --- | --- | --- |
| 9.289 | 9.52 | 100.0 | 0 0 1 |
| 4.645 | 19.11 | 49.2 | 0 0 2 |
| 3.983 | 22.32 | 46.9 | 1 0 0 |
| 3.660 | 24.32 | 62.6 | 1 0 -1 |
| 3.302 | 27.00 | 42.1 | 0 1 2 |
| 2.585 | 34.70 | 32.0 | 0 1 3 |
| 2.547 | 35.24 | 32.0 | 1 1 -2 |
| 2.537 | 35.38 | 31.0 | 1 1 2 |

[9]
Theoretical X-ray diffraction stick pattern of KTeCl2 for Cu Kα (weighted mean of Kα1 and Kα2), from a cell relaxed with GGA-PBE.

Atomic structure:
abc: 4.144 4.167 7.764
angles: 90.00 90.00 90.00
Space group Pmmm (No. 47)
Symmetry-distinct sites (fractional):
K1 0.000 0.000 0.000
Te1 0.500 0.000 0.500
Cl1 0.000 0.500 0.500
Cl2 0.500 0.500 0.000

Main lines, in order of rising 2θ (2θ = 5–70°):
| d [Å] | 2θ (°) | I/Imax | (hkl) |
| --- | --- | --- | --- |
| 7.764 | 11.40 | 34.5 | 0 0 1 |
| 3.882 | 22.91 | 64.5 | 0 0 2 |
| 3.656 | 24.35 | 15.5 | 1 0 1 |
| 2.837 | 31.53 | 14.9 | 0 1 2 |
| 2.748 | 32.58 | 100.0 | 1 1 1 |
| 1.942 | 46.78 | 42.3 | 1 1 3 |
| 1.836 | 49.66 | 14.0 | 0 2 2 |
| 1.374 | 68.29 | 20.5 | 2 2 2 |

[10]
Theoretical X-ray diffraction stick pattern of KTeCl6 for Cu Kα (weighted mean of Kα1 and Kα2), from a cell relaxed with GGA-PBE.

Atomic structure:
abc: 11.364 9.309 10.957
angles: 90.00 91.05 90.00
Space group C2/c (No. 15)
Symmetry-distinct sites (fractional):
K1 0.000 0.009 0.250
Te1 0.250 0.250 0.000
Cl1 0.099 0.306 0.842
Cl2 0.110 0.315 0.161
Cl3 0.178 0.004 0.506

Main lines, in order of rising 2θ (2θ = 5–70°):
| d [Å] | 2θ (°) | I/Imax | (hkl) |
| --- | --- | --- | --- |
| 6.050 | 14.64 | 100.0 | 1 1 -1 |
| 5.986 | 14.80 | 95.9 | 1 1 1 |
| 3.980 | 22.34 | 32.1 | 2 0 -2 |
| 3.908 | 22.76 | 33.8 | 2 0 2 |
| 2.993 | 29.85 | 20.5 | 1 3 0 |
| 2.888 | 30.96 | 24.9 | 1 3 -1 |
| 2.551 | 35.18 | 29.0 | 3 1 -3 |
| 2.508 | 35.80 | 26.4 | 3 1 3 |

[11]
Theoretical X-ray diffraction stick pattern of K2TeCl6 for Cu Kα (weighted mean of Kα1 and Kα2), from a cell relaxed with GGA-PBE.

Atomic structure:
abc: 10.381 10.381 10.381
angles: 90.00 90.00 90.00
Space group Fm-3m (No. 225)
Symmetry-distinct sites (fractional):
K1 0.250 0.250 0.250
Te1 0.000 0.000 0.000
Cl1 0.000 0.000 0.247

Main lines, in order of rising 2θ (2θ = 5–70°):
| d [Å] | 2θ (°) | I/Imax | (hkl) |
| --- | --- | --- | --- |
| 5.994 | 14.78 | 100.0 | 1 1 1 |
| 5.191 | 17.08 | 43.9 | 2 0 0 |
| 3.670 | 24.25 | 49.7 | 2 2 0 |
| 3.130 | 28.52 | 55.8 | 3 1 1 |
| 2.997 | 29.81 | 35.5 | 2 2 2 |
| 2.595 | 34.56 | 98.4 | 4 0 0 |
| 2.382 | 37.77 | 23.7 | 3 3 1 |
| 1.835 | 49.68 | 63.1 | 4 4 0 |

[12]
Theoretical X-ray diffraction stick pattern of K4TeCl2 for Cu Kα (weighted mean of Kα1 and Kα2), from a cell relaxed with GGA-PBE.

Atomic structure:
abc: 6.543 6.543 17.114
angles: 90.00 90.00 90.00
Space group I4/mmm (No. 139)
Symmetry-distinct sites (fractional):
K1 0.000 0.000 0.192
K2 0.000 0.500 0.000
Te1 0.000 0.000 0.000
Cl1 0.000 0.000 0.363

Main lines, in order of rising 2θ (2θ = 5–70°):
| d [Å] | 2θ (°) | I/Imax | (hkl) |
| --- | --- | --- | --- |
| 8.557 | 10.34 | 62.8 | 0 0 2 |
| 6.112 | 14.49 | 71.4 | 1 0 1 |
| 4.627 | 19.18 | 71.8 | 1 1 0 |
| 4.300 | 20.66 | 38.4 | 1 0 3 |
| 3.272 | 27.26 | 100.0 | 2 0 0 |
| 3.033 | 29.45 | 67.0 | 1 0 5 |
| 2.601 | 34.48 | 37.5 | 2 0 4 |
| 2.224 | 40.56 | 53.4 | 2 1 5 |

[13]
Theoretical X-ray diffraction stick pattern of KUTe2Cl for Cu Kα (weighted mean of Kα1 and Kα2), from a cell relaxed with GGA-PBE.

Atomic structure:
abc: 9.149 4.429 9.785
angles: 90.00 104.86 90.00
Space group P2_1/m (No. 11)
Symmetry-distinct sites (fractional):
K1 0.225 0.250 0.318
U1 0.329 0.250 0.825
Te1 0.323 0.750 0.045
Te2 0.361 0.750 0.625
Cl1 0.033 0.250 0.744

Main lines, in order of rising 2θ (2θ = 5–70°):
| d [Å] | 2θ (°) | I/Imax | (hkl) |
| --- | --- | --- | --- |
| 9.458 | 9.35 | 21.1 | 0 0 1 |
| 8.843 | 10.00 | 54.5 | 1 0 0 |
| 7.488 | 11.82 | 52.3 | 1 0 -1 |
| 3.661 | 24.31 | 19.9 | 2 0 1 |
| 3.228 | 27.63 | 100.0 | 1 1 -2 |
| 2.948 | 30.32 | 24.2 | 3 0 0 |
| 2.416 | 37.22 | 17.3 | 2 1 2 |
| 2.397 | 37.52 | 17.8 | 3 1 -2 |